No. 1
Structure and computed PXRD pattern of Y7C3I6O (a DFT-relaxed cell (PBE, Alexandria); Cu Ka).
Kinematic intensities with the Lorentz-polarization factor, no thermal factor.

Cell and atoms:
a b c (Å): 22.573 3.861 11.959
angles (deg): 90.00 90.00 90.00
Space group Pmma (No. 51)
Asymmetric unit:
Y1 0.029 0.000 0.133 (multiplicity 4)
Y2 0.106 0.500 0.943 (multiplicity 4)
Y3 0.164 0.500 0.199 (multiplicity 4)
Y4 0.250 0.000 0.022 (multiplicity 2)
C1 0.000 0.500 0.000 (multiplicity 2)
C2 0.136 0.000 0.077 (multiplicity 4)
I1 0.055 0.500 0.345 (multiplicity 4)
I2 0.094 0.000 0.740 (multiplicity 4)
I3 0.250 0.000 0.361 (multiplicity 2)
I4 0.250 0.500 0.820 (multiplicity 2)
O1 0.250 0.500 0.115 (multiplicity 2)

Main lines, in order of rising 2θ (2θ = 10–90°):
two_theta  intensity  h k l
14.82  40  0 0 2
23.65  35  6 0 0
27.01  81  3 1 1
28.66  85  7 0 1
30.00  50  3 1 2
32.55  40  1 1 3
33.27  100  2 1 3
47.07  35  0 2 0

No. 2
Structure and computed PXRD pattern of NbV3H6 (a DFT-relaxed cell (PBE, Alexandria); Cu Ka).
Kinematic intensities with the Lorentz-polarization factor, no thermal factor.

Cell and atoms:
a b c (Å): 9.312 4.049 4.418
angles (deg): 90.00 117.01 90.00
Space group C2/m (No. 12)
Asymmetric unit:
Nb1 0.000 0.000 0.000 (multiplicity 2)
V1 0.000 0.500 0.500 (multiplicity 2)
V2 0.249 0.000 0.770 (multiplicity 4)
H1 0.129 0.256 0.393 (multiplicity 8)
H2 0.246 0.500 0.827 (multiplicity 4)

Main lines, in order of rising 2θ (2θ = 10–90°):
two_theta  intensity  h k l
36.83  100  1 1 1
37.39  95  3 1 -1
40.86  36  2 0 -2
43.64  30  4 0 0
44.77  28  0 2 0
62.21  20  2 2 -2
64.30  18  4 2 0
71.40  12  1 1 -3